The following is a computed XRD peak list of Ce3Th2Sb3. It was derived from a structure optimized by DFT (GGA-PBE), using Cu Kα (weighted mean of Kα1 and Kα2).
Intensities are scaled so that the largest is 100.

Principal peaks in the range 2θ from 10° to 90°, in order of rising 2θ:
Position (°2θ)  Rel. int.  h k l
10.9  30  1 0 0
29.2  27  2 1 0
32.3  52  2 1 1
33.2  76  3 0 0
33.7  100  1 1 2
48.0  30  2 2 2
51.8  21  4 1 0
67.4  20  3 0 4

Atomic structure:
a = 9.3511 Å, b = 9.3511 Å, c = 6.4804 Å
α = 90.00°, β = 90.00°, γ = 120.00°
Element x y z (fractional)
Ce 0.0000 0.2652 0.2500
Ce 0.0000 0.7348 0.7500
Ce 0.2652 0.0000 0.2500
Ce 0.2652 0.2652 0.7500
Ce 0.7348 0.0000 0.7500
Ce 0.7348 0.7348 0.2500
Th 0.3333 0.6667 0.0000
Th 0.3333 0.6667 0.5000
Th 0.6667 0.3333 0.0000
Th 0.6667 0.3333 0.5000
Sb 0.0000 0.3795 0.7500
Sb 0.0000 0.6205 0.2500
Sb 0.3795 0.0000 0.7500
Sb 0.3795 0.3795 0.2500
Sb 0.6205 0.0000 0.2500
Sb 0.6205 0.6205 0.7500